For Pb3N2, the GGA-PBE geometry in the Materials Project gives the calculated powder X-ray diffraction pattern in this record (λ = 1.5418 Å (Cu Kα)).
Lines closer than 0.1° are merged.

Peak list (10 most intense, 2θ from 15° to 90°, by angle)
- 27.44 deg, I = 1000, hkl 0 3 1
- 29.24 deg, I = 928, hkl 1 0 1
- 31.82 deg, I = 310, hkl 0 0 2
- 33.36 deg, I = 582, hkl 1 3 0
- 45.54 deg, I = 122, hkl 0 6 0
- 46.77 deg, I = 490, hkl 1 3 2
- 50.15 deg, I = 135, hkl 2 0 0
- 54.06 deg, I = 135, hkl 0 3 3
- 55.07 deg, I = 388, hkl 1 6 1
- 58.12 deg, I = 263, hkl 2 3 1

Crystal structure
```
data_Pb3N2
_chemical_formula_sum 'Pb6 N4'
_cell_length_a 3.638
_cell_length_b 11.950
_cell_length_c 5.624
_cell_angle_alpha 90.00
_cell_angle_beta 90.00
_cell_angle_gamma 90.00
_space_group_name_H-M_alt 'P m m n'
_space_group_IT_number 59
loop_
_space_group_symop_operation_xyz
'x,y,z'
'-x,-y,-z'
'-x+1/2,-y+1/2,z'
'x+1/2,y+1/2,-z'
'x+1/2,-y,-z'
'-x+1/2,y,z'
'-x,y+1/2,-z'
'x,-y+1/2,z'
loop_
_atom_site_label
_atom_site_type_symbol
_atom_site_fract_x
_atom_site_fract_y
_atom_site_fract_z
Pb1 Pb 0.250 0.068 0.223
Pb2 Pb 0.250 0.750 0.273
N1 N 0.250 0.605 0.024
```



For Tb2Sn2O7, the GGA-PBE geometry in the Materials Project gives the calculated powder X-ray diffraction pattern in this record (λ = 1.5418 Å (Cu Kα)).
Lines closer than 0.1° are merged.

Peak list (10 most intense, 2θ from 15° to 90°, by angle)
- 29.39 deg, I = 1000, hkl 2 2 2
- 34.07 deg, I = 337, hkl 4 0 0
- 37.23 deg, I = 26, hkl 3 3 1
- 44.74 deg, I = 9, hkl 5 1 1
- 48.95 deg, I = 486, hkl 4 4 0
- 58.13 deg, I = 449, hkl 6 2 2
- 60.98 deg, I = 103, hkl 4 4 4
- 71.74 deg, I = 73, hkl 8 0 0
- 79.36 deg, I = 187, hkl 6 6 2
- 81.85 deg, I = 150, hkl 8 4 0

Crystal structure
Unit cell a=10.526 b=10.526 c=10.526 alpha=90.00 beta=90.00 gamma=90.00
Space group Fd-3m (No. 227, origin choice 2)
Asymmetric unit:
Tb (0.000, 0.000, 0.000) (multiplicity 16)
Sn (0.000, 0.000, 0.500) (multiplicity 16)
O (0.089, 0.375, 0.875) (multiplicity 48)
O (0.125, 0.125, 0.125) (multiplicity 8)



For CaSO4, the GGA-PBE geometry in the Materials Project gives the calculated powder X-ray diffraction pattern in this record (λ = 1.5418 Å (Cu Kα)).
Lines closer than 0.1° are merged.

Peak list (10 most intense, 2θ from 15° to 90°, by angle)
- 26.99 deg, I = 552, hkl 0 0 2
- 28.91 deg, I = 1000, hkl 0 2 1
- 29.92 deg, I = 228, hkl 0 1 2
- 31.36 deg, I = 947, hkl 2 1 -2
- 34.57 deg, I = 286, hkl 2 0 0
- 42.27 deg, I = 235, hkl 3 0 -2
- 46.28 deg, I = 381, hkl 2 1 -4
- 48.77 deg, I = 306, hkl 2 3 -1
- 51.91 deg, I = 270, hkl 2 2 1
- 52.78 deg, I = 222, hkl 2 3 -3

Crystal structure
```
data_CaSO4
_chemical_formula_sum 'Ca4 S4 O16'
_cell_length_a 6.431
_cell_length_b 6.987
_cell_length_c 8.189
_cell_angle_alpha 90.00
_cell_angle_beta 126.21
_cell_angle_gamma 90.00
_space_group_name_H-M_alt 'P 1 21/c 1'
_space_group_IT_number 14
loop_
_space_group_symop_operation_xyz
'x,y,z'
'-x,-y,-z'
'-x,y+1/2,-z+1/2'
'x,-y+1/2,z+1/2'
loop_
_atom_site_label
_atom_site_type_symbol
_atom_site_fract_x
_atom_site_fract_y
_atom_site_fract_z
Ca1 Ca 0.190 0.154 0.284
S1 S 0.309 0.661 0.197
O1 O 0.131 0.670 0.621
O2 O 0.191 0.510 0.248
O3 O 0.334 0.599 0.035
O4 O 0.426 0.208 0.126
```



For BaMg14Mo, the GGA-PBE geometry in the Materials Project gives the calculated powder X-ray diffraction pattern in this record (λ = 1.5418 Å (Cu Kα)).
Lines closer than 0.1° are merged.

Peak list (10 most intense, 2θ from 15° to 90°, by angle)
- 15.58 deg, I = 241, hkl 0 0 2
- 16.94 deg, I = 214, hkl 2 0 0
- 17.75 deg, I = 357, hkl 1 0 2
- 23.09 deg, I = 191, hkl 2 0 2
- 31.96 deg, I = 319, hkl 0 2 2
- 34.26 deg, I = 384, hkl 4 0 0
- 35.95 deg, I = 530, hkl 2 0 4
- 36.39 deg, I = 1000, hkl 2 2 2
- 47.56 deg, I = 203, hkl 4 2 2
- 62.75 deg, I = 200, hkl 6 2 2

Crystal structure
```
data_BaMg14Mo
_chemical_formula_sum 'Ba2 Mg28 Mo2'
_cell_length_a 10.469
_cell_length_b 6.434
_cell_length_c 11.372
_cell_angle_alpha 90.00
_cell_angle_beta 90.00
_cell_angle_gamma 90.00
_space_group_name_H-M_alt 'A m m 2'
_space_group_IT_number 38
loop_
_space_group_symop_operation_xyz
'x,y,z'
'-x,-y,z'
'-x,y,z'
'x,-y,z'
'x,y+1/2,z+1/2'
'-x,-y+1/2,z+1/2'
'-x,y+1/2,z+1/2'
'x,-y+1/2,z+1/2'
loop_
_atom_site_label
_atom_site_type_symbol
_atom_site_fract_x
_atom_site_fract_y
_atom_site_fract_z
Ba1 Ba 0.000 0.000 0.000
Mg1 Mg 0.000 0.246 0.248
Mg2 Mg 0.233 0.000 0.647
Mg3 Mg 0.256 0.237 0.404
Mg4 Mg 0.271 0.000 0.160
Mg5 Mg 0.500 0.000 0.490
Mg6 Mg 0.500 0.000 0.987
Mg7 Mg 0.500 0.244 0.740
Mo1 Mo 0.000 0.000 0.473
```